This entry pairs a crystal structure of LiMnSbO4 with its calculated powder X-ray diffraction pattern. Radiation: copper Kα. Structure: DFT lattice parameters and positions (GGA+U).
Kinematic intensities with the Lorentz-polarization factor, no thermal factor.

Structure:
```
data_LiMnSbO4
_symmetry_space_group_name_H-M 'P 43'
_symmetry_Int_Tables_number 78
_cell_length_a 6.260
_cell_length_b 6.260
_cell_length_c 8.715
_cell_angle_alpha 90.00
_cell_angle_beta 90.00
_cell_angle_gamma 90.00
loop_
_symmetry_equiv_pos_as_xyz
'x,y,z'
'-y,x,z+3/4'
'-x,-y,z+1/2'
'y,-x,z+1/4'
loop_
_atom_site_label
_atom_site_fract_x
_atom_site_fract_y
_atom_site_fract_z
Li1 0.000 0.215 0.000
Mn1 0.246 0.246 0.624
Sb1 0.235 0.500 0.249
O1 0.032 0.265 0.252
O2 0.032 0.735 0.246
O3 0.273 0.480 0.017
O4 0.273 0.520 0.482
```

Top 8 peaks for 10° ≤ 2θ ≤ 90°, by intensity:
hkl 1 1 1, 2θ 22.53, 3.947 Å, rel. 100; hkl 2 1 1, 2θ 33.62, 2.666 Å, rel. 93; hkl 1 0 0, 2θ 14.15, 6.260 Å, rel. 58; hkl 1 0 3, 2θ 34.02, 2.635 Å, rel. 49; hkl 1 0 2, 2θ 24.90, 3.576 Å, rel. 48; hkl 2 2 4, 2θ 59.54, 1.553 Å, rel. 45; hkl 3 2 1, 2θ 53.84, 1.703 Å, rel. 31; hkl 1 1 2, 2θ 28.75, 3.105 Å, rel. 24